Calculated XRD peak list of LiCoPO4 for Cu Ka, from a structure optimized by DFT (PBE+U).

Structural model:
```
LiCoPO4
1.0
7.4632 0.0000 0.0000
-3.7316 6.4633 0.0000
0.0000 0.0000 9.5153
Li Co P O
6 6 6 24
direct
0.0486 0.2565 0.0000 Li
0.2079 0.9514 0.0000 Li
0.2565 0.0486 0.5000 Li
0.7435 0.7921 0.0000 Li
0.7921 0.7435 0.5000 Li
0.9514 0.2079 0.5000 Li
0.0501 0.5911 0.2257 Co
0.4089 0.4590 0.2257 Co
0.4590 0.4089 0.7257 Co
0.5410 0.9499 0.2257 Co
0.5911 0.0501 0.7257 Co
0.9499 0.5410 0.7257 Co
0.0000 0.0000 0.2484 P
0.0000 0.0000 0.7484 P
0.3333 0.6667 0.5202 P
0.3333 0.6667 0.9247 P
0.6667 0.3333 0.0202 P
0.6667 0.3333 0.4247 P
0.0000 0.0000 0.4104 O
0.0000 0.0000 0.9104 O
0.1025 0.8773 0.1901 O
0.1150 0.5016 0.5696 O
0.1227 0.2251 0.1901 O
0.1657 0.7153 0.8727 O
0.2251 0.1227 0.6901 O
0.2847 0.4504 0.8727 O
0.3333 0.6667 0.0908 O
0.3333 0.6667 0.3517 O
0.3866 0.8850 0.5696 O
0.4504 0.2847 0.3727 O
0.4984 0.6134 0.5696 O
0.5016 0.1150 0.0696 O
0.5496 0.8343 0.8727 O
0.6134 0.4984 0.0696 O
0.6667 0.3333 0.5908 O
0.6667 0.3333 0.8517 O
0.7153 0.1657 0.3727 O
0.7749 0.8975 0.1901 O
0.8343 0.5496 0.3727 O
0.8773 0.1025 0.6901 O
0.8850 0.3866 0.0696 O
0.8975 0.7749 0.6901 O
```

Main lines, sorted by position (2θ = 10–80°):
- 2θ 18.7, I = 59, (0 0 2)
- 2θ 23.8, I = 64, (1 1 0)
- 2θ 27.6, I = 49, (2 0 0)
- 2θ 30.4, I = 99, (2 -1 2)
- 2θ 31.4, I = 50, (1 0 3)
- 2θ 33.5, I = 100, (2 0 2)